1.
The following is a simulated powder diffractogram of Ca2ZnPb. It was derived from a cell relaxed with PBE, using a wavelength of 1.5418 Å.
Lines closer than 0.1° are merged.

Main lines, sorted by position (2θ = 10–90°):
2θ = 20.04°, I 29.5; 2θ = 23.18°, I 32.6; 2θ = 33.01°, I 100.0; 2θ = 38.92°, I 17.6; 2θ = 40.72°, I 10.9; 2θ = 47.38°, I 18.0; 2θ = 53.39°, I 15.4; 2θ = 58.95°, I 36.9; 2θ = 69.25°, I 11.3; 2θ = 78.88°, I 15.7

Atomic structure:
Cell lengths 7.6751, 7.6751, 7.6751 Å; angles 90.00, 90.00, 90.00 degrees
Atoms (fractional coordinates):
Ca (0.2500, 0.2500, 0.2500)
Ca (0.2500, 0.2500, 0.7500)
Ca (0.2500, 0.7500, 0.2500)
Ca (0.2500, 0.7500, 0.7500)
Ca (0.7500, 0.2500, 0.2500)
Ca (0.7500, 0.2500, 0.7500)
Ca (0.7500, 0.7500, 0.2500)
Ca (0.7500, 0.7500, 0.7500)
Zn (0.0000, 0.0000, 0.0000)
Zn (0.0000, 0.5000, 0.5000)
Zn (0.5000, 0.0000, 0.5000)
Zn (0.5000, 0.5000, 0.0000)
Pb (0.0000, 0.0000, 0.5000)
Pb (0.0000, 0.5000, 0.0000)
Pb (0.5000, 0.0000, 0.0000)
Pb (0.5000, 0.5000, 0.5000)

2.
The following is a simulated powder diffractogram of Ca5Pd2. It was derived from a cell relaxed with PBE, using a wavelength of 1.5418 Å.
Lines closer than 0.1° are merged.

Main lines, sorted by position (2θ = 10–90°):
2θ = 18.92°, I 100.0; 2θ = 21.51°, I 28.1; 2θ = 22.95°, I 43.0; 2θ = 30.70°, I 23.2; 2θ = 31.78°, I 31.6; 2θ = 33.72°, I 39.7; 2θ = 34.01°, I 26.3; 2θ = 34.59°, I 31.0; 2θ = 37.65°, I 35.8; 2θ = 37.76°, I 27.2

Atomic structure:
Cell lengths 8.9744, 8.9744, 7.6805 Å; angles 96.86, 96.86, 43.57 degrees
Atoms (fractional coordinates):
Ca (0.0787, 0.9213, 0.7500)
Ca (0.1369, 0.2976, 0.3197)
Ca (0.2976, 0.1369, 0.8197)
Ca (0.2986, 0.5190, 0.0812)
Ca (0.4810, 0.7014, 0.4188)
Ca (0.5190, 0.2986, 0.5812)
Ca (0.7014, 0.4810, 0.9188)
Ca (0.7024, 0.8631, 0.1803)
Ca (0.8631, 0.7024, 0.6803)
Ca (0.9213, 0.0787, 0.2500)
Pd (0.0957, 0.6836, 0.4190)
Pd (0.3164, 0.9043, 0.0810)
Pd (0.6836, 0.0957, 0.9190)
Pd (0.9043, 0.3164, 0.5810)

3.
The following is a simulated powder diffractogram of Ca4Pd. It was derived from a cell relaxed with PBE, using a wavelength of 1.5418 Å.
Lines closer than 0.1° are merged.

Main lines, sorted by position (2θ = 10–90°):
2θ = 13.14°, I 63.6; 2θ = 21.53°, I 100.0; 2θ = 25.30°, I 56.1; 2θ = 26.45°, I 92.9; 2θ = 33.46°, I 52.8; 2θ = 37.75°, I 42.4; 2θ = 40.14°, I 39.0; 2θ = 43.87°, I 85.6; 2θ = 51.96°, I 33.2; 2θ = 59.24°, I 25.8

Atomic structure:
Cell lengths 8.2543, 8.2543, 8.2543 Å; angles 60.00, 60.00, 60.00 degrees
Atoms (fractional coordinates):
Ca (0.2226, 0.7591, 0.7591)
Ca (0.2409, 0.2409, 0.2409)
Ca (0.2409, 0.2409, 0.7774)
Ca (0.2409, 0.7774, 0.2409)
Ca (0.7591, 0.2226, 0.7591)
Ca (0.7591, 0.7591, 0.2226)
Ca (0.7591, 0.7591, 0.7591)
Ca (0.7774, 0.2409, 0.2409)
Pd (0.3750, 0.3750, 0.3750)
Pd (0.6250, 0.6250, 0.6250)

4.
The following is a simulated powder diffractogram of CaPd2. It was derived from a cell relaxed with PBE, using a wavelength of 1.5418 Å.
Lines closer than 0.1° are merged.

Main lines, sorted by position (2θ = 10–90°):
2θ = 19.52°, I 65.0; 2θ = 32.84°, I 35.2; 2θ = 38.49°, I 100.0; 2θ = 39.64°, I 23.0; 2θ = 47.13°, I 27.6; 2θ = 51.47°, I 19.8; 2θ = 52.40°, I 18.8; 2θ = 63.23°, I 22.2; 2θ = 71.17°, I 15.4; 2θ = 81.76°, I 21.0

Atomic structure:
Cell lengths 3.8567, 3.8567, 9.0938 Å; angles 90.00, 90.00, 90.00 degrees
Atoms (fractional coordinates):
Ca (0.0000, 0.0000, 0.0000)
Ca (0.5000, 0.5000, 0.5000)
Pd (0.0000, 0.5000, 0.2500)
Pd (0.0000, 0.5000, 0.7500)
Pd (0.5000, 0.0000, 0.2500)
Pd (0.5000, 0.0000, 0.7500)